Structure and theoretical X-ray powder pattern of Ce9YO20 (a cell relaxed with PBE; Cu Kα (weighted mean of Kα1 and Kα2)).

Cell and atoms:
```
data_Ce9YO20
_chemical_formula_sum 'Ce9 Y1 O20'
_cell_length_a 6.6756
_cell_length_b 7.7114
_cell_length_c 8.6317
_cell_angle_alpha 102.86
_cell_angle_beta 97.53
_cell_angle_gamma 106.63
_space_group_name_H-M_alt 'P 1'
_space_group_IT_number 1
_space_group_name_Hall 'P 1'
loop_
_atom_site_label
_atom_site_fract_x
_atom_site_fract_y
_atom_site_fract_z
Ce1 0.0000 0.0000 0.0000
Ce2 0.1994 0.4003 0.3984
Ce3 0.1993 0.8985 0.3985
Ce4 0.3985 0.7990 0.8009
Ce5 0.4006 0.3014 0.8015
Ce6 0.5994 0.6986 0.1985
Ce7 0.6015 0.2010 0.1991
Ce8 0.8007 0.1015 0.6015
Ce9 0.8006 0.5997 0.6016
Y1 0.0000 0.5000 0.0000
O1 0.0501 0.2230 0.8488
O2 0.0504 0.7265 0.8488
O3 0.1499 0.1751 0.5497
O4 0.1497 0.6747 0.5499
O5 0.2505 0.1252 0.2501
O6 0.2516 0.6259 0.2518
O7 0.3504 0.0749 0.9502
O8 0.3523 0.5757 0.9494
O9 0.4499 0.0247 0.6500
O10 0.4497 0.5251 0.6497
O11 0.5503 0.4749 0.3503
O12 0.5501 0.9753 0.3500
O13 0.6477 0.4243 0.0506
O14 0.6496 0.9251 0.0498
O15 0.7484 0.3741 0.7482
O16 0.7495 0.8748 0.7499
O17 0.8503 0.3253 0.4501
O18 0.8501 0.8249 0.4503
O19 0.9496 0.2735 0.1512
O20 0.9499 0.7770 0.1512
```

Principal peaks in the range 10° ≤ 2θ ≤ 80°, sorted by position:
two_theta	d/Å	I/Imax
28.33	3.150	100
32.80	2.731	19
32.90	2.722	9
47.12	1.929	55
55.85	1.646	30
55.98	1.643	15
58.62	1.575	8
68.76	1.365	6
75.96	1.253	6
76.08	1.251	12